Computed PXRD pattern of BaSrCaWO6 for Cu Kα (weighted mean of Kα1 and Kα2), from DFT lattice parameters and positions (PBE+U).
Neutral-atom scattering factors, no anomalous dispersion.

Crystal structure
Unit cell a=5.956 b=5.971 c=8.428 alpha=89.66 beta=89.66 gamma=89.97
Space group P-1 (No. 2)
Unique sites:
Ba 0.004 0.018 0.250 x2
Sr 0.496 0.526 0.249 x2
Ca 0.000 0.500 0.000 x1
Ca 0.500 0.000 0.500 x1
W 0.000 0.500 0.500 x1
W 0.500 0.000 0.000 x1
O 0.073 0.489 0.727 x2
O 0.204 0.754 0.474 x2
O 0.240 0.801 0.018 x2
O 0.254 0.300 0.455 x2
O 0.309 0.263 0.044 x2
O 0.448 0.041 0.772 x2

Largest 10 diffraction maxima, by angle, 10 to 80 degrees two-theta:
- hkl 1 0 1, 2θ = 18.17°, rel. 31
- hkl 0 1 -1, 2θ = 18.28°, rel. 28
- hkl 0 2 0, 2θ = 29.89°, rel. 65
- hkl -1 1 2, 2θ = 29.99°, rel. 100
- hkl 1 1 -2, 2θ = 30.10°, rel. 32
- hkl 2 2 0, 2θ = 42.91°, rel. 56
- hkl 2 0 4, 2θ = 53.07°, rel. 35
- hkl -3 1 2, 2θ = 53.38°, rel. 35
- hkl 4 0 0, 2θ = 62.33°, rel. 16
- hkl -1 1 6, 2θ = 70.69°, rel. 18

=====

Computed PXRD pattern of Ba8Sr3CaW4O24 for Cu Kα (weighted mean of Kα1 and Kα2), from DFT lattice parameters and positions (PBE+U).
Neutral-atom scattering factors, no anomalous dispersion.

Crystal structure
Unit cell a=6.081 b=10.569 c=10.688 alpha=99.24 beta=106.30 gamma=90.02
Space group P-1 (No. 2)
Unique sites:
Ba 0.063 0.184 0.124 x2
Ba 0.183 0.561 0.369 x2
Ba 0.316 0.938 0.634 x2
Ba 0.432 0.306 0.872 x2
Sr 0.000 0.500 0.000 x1
Sr 0.250 0.250 0.500 x2
Ca 0.500 0.000 0.000 x1
W 0.127 0.878 0.248 x2
W 0.375 0.627 0.752 x2
O 0.006 0.841 0.391 x2
O 0.048 0.700 0.157 x2
O 0.064 0.673 0.665 x2
O 0.179 0.074 0.852 x2
O 0.202 0.055 0.337 x2
O 0.255 0.917 0.106 x2
O 0.272 0.583 0.898 x2
O 0.299 0.449 0.660 x2
O 0.312 0.418 0.163 x2
O 0.432 0.829 0.341 x2
O 0.450 0.806 0.848 x2
O 0.476 0.670 0.604 x2

Largest 10 diffraction maxima, by angle, 10 to 80 degrees two-theta:
- hkl -1 1 1, 2θ = 17.80°, rel. 18
- hkl -1 1 3, 2θ = 28.98°, rel. 67
- hkl 0 2 -3, 2θ = 29.04°, rel. 34
- hkl 2 0 -1, 2θ = 29.32°, rel. 100
- hkl 0 4 2, 2θ = 41.57°, rel. 19
- hkl 2 -2 2, 2θ = 41.71°, rel. 19
- hkl 2 2 -4, 2θ = 41.85°, rel. 18
- hkl 2 4 1, 2θ = 51.71°, rel. 14
- hkl 3 1 1, 2θ = 51.78°, rel. 14
- hkl 1 5 -4, 2θ = 51.91°, rel. 21